Record 1
This entry pairs a crystal structure of Li6SiPd2 with its theoretical powder X-ray diffraction pattern. Radiation: Cu Kα X-rays. Structure: DFT lattice parameters and positions (GGA-PBE).
Peak positions follow from Bragg's law for the DFT cell and can differ from measured ones.

Crystal structure
```
9
Lattice="3.3679 -3.7379 0.0000 3.3679 3.7379 0.0000 -0.8090 0.0000 4.9609" Properties=species:S:1:pos:R:3 pbc="T T T"
Li 1.9800 1.2415 1.6489
Li 3.3679 2.4817 0.0000
Li 1.9800 -1.2415 1.6489
Li 3.9468 1.2415 3.3119
Li 3.3679 -2.4817 0.0000
Li 3.9468 -1.2415 3.3119
Si -0.4045 0.0000 2.4804
Pd 1.5006 0.0000 4.0740
Pd 4.4262 0.0000 0.8868
```

Top 6 peaks for 10° ≤ 2θ ≤ 90°, sorted by position:
- d = 4.966 Å, 2θ = 17.86°, I = 15
- d = 3.741 Å, 2θ = 23.78°, I = 100
- d = 3.319 Å, 2θ = 26.86°, I = 15
- d = 2.160 Å, 2θ = 41.82°, I = 31
- d = 2.123 Å, 2θ = 42.59°, I = 34
- d = 2.120 Å, 2θ = 42.66°, I = 17

---

Record 2
This entry pairs a crystal structure of Mg3Pd with its theoretical powder X-ray diffraction pattern. Radiation: Cu Kα X-rays. Structure: DFT lattice parameters and positions (GGA-PBE).
Peak positions follow from Bragg's law for the DFT cell and can differ from measured ones.

Crystal structure
```
24
Lattice="8.0139 0.0000 0.0000 -4.0069 6.9402 0.0000 0.0000 0.0000 8.4365" Properties=species:S:1:pos:R:3 pbc="T T T"
Mg 0.0000 0.0000 0.0000
Mg 0.0000 0.0000 4.2182
Mg -1.1206 1.9409 2.0579
Mg -1.5136 2.6216 7.5814
Mg -2.4933 4.3186 3.3632
Mg -2.8864 4.9994 6.2762
Mg 2.2411 0.0000 2.0579
Mg 1.1206 1.9409 6.2762
Mg 0.0000 4.6268 1.0325
Mg 0.0000 4.6268 5.2508
Mg 3.0272 0.0000 7.5814
Mg 1.5136 2.6216 3.3632
Mg 4.9867 0.0000 3.3632
Mg 2.4933 4.3186 7.5814
Mg 4.0069 2.3134 1.0325
Mg 4.0069 2.3134 5.2508
Mg 5.7728 0.0000 6.2762
Mg 2.8864 4.9994 2.0579
Pd -1.3126 2.2736 4.8231
Pd -2.6943 4.6667 0.6048
Pd 2.6253 0.0000 4.8231
Pd 1.3126 2.2736 0.6048
Pd 5.3886 0.0000 0.6048
Pd 2.6943 4.6667 4.8231
```

Top 6 peaks for 10° ≤ 2θ ≤ 90°, sorted by position:
- d = 4.218 Å, 2θ = 21.06°, I = 42
- d = 4.007 Å, 2θ = 22.19°, I = 31
- d = 3.619 Å, 2θ = 24.60°, I = 100
- d = 2.313 Å, 2θ = 38.93°, I = 77
- d = 2.302 Å, 2θ = 39.13°, I = 93
- d = 2.028 Å, 2θ = 44.68°, I = 40

---

Record 3
This entry pairs a crystal structure of Tm3BiRu with its theoretical powder X-ray diffraction pattern. Radiation: Cu Kα X-rays. Structure: DFT lattice parameters and positions (GGA-PBE).
Peak positions follow from Bragg's law for the DFT cell and can differ from measured ones.

Crystal structure
```
10
Lattice="8.0455 0.0000 0.0000 0.0000 4.3218 0.0000 -3.2220 0.0000 7.7266" Properties=species:S:1:pos:R:3 pbc="T T T"
Tm -0.5093 1.0804 1.8962
Tm 0.6090 3.2413 4.5831
Tm -0.3121 1.0804 7.1534
Tm 5.1356 3.2413 0.5732
Tm 4.2145 1.0804 3.1435
Tm 5.3328 3.2413 5.8304
Bi 1.9828 3.2413 1.6113
Bi 2.8407 1.0804 6.1152
Ru -1.2947 1.0804 4.6948
Ru 6.1182 3.2413 3.0318
```

Top 6 peaks for 10° ≤ 2θ ≤ 90°, sorted by position:
- d = 3.134 Å, 2θ = 28.48°, I = 73
- d = 2.936 Å, 2θ = 30.44°, I = 88
- d = 2.678 Å, 2θ = 33.46°, I = 100
- d = 2.475 Å, 2θ = 36.29°, I = 60
- d = 2.458 Å, 2θ = 36.56°, I = 50
- d = 2.161 Å, 2θ = 41.80°, I = 61

---

Record 4
This entry pairs a crystal structure of Be4Ga2Sb with its theoretical powder X-ray diffraction pattern. Radiation: Cu Kα X-rays. Structure: DFT lattice parameters and positions (GGA-PBE).
Peak positions follow from Bragg's law for the DFT cell and can differ from measured ones.

Crystal structure
```
7
Lattice="-2.4682 2.4682 5.6380 2.4682 -2.4682 5.6380 2.4682 2.4682 -5.6380" Properties=species:S:1:pos:R:3 pbc="T T T"
Be 2.4682 0.0000 0.0000
Be 0.0000 0.0000 2.3155
Be 0.0000 2.4682 0.0000
Be 0.0000 0.0000 8.9605
Ga 0.0000 0.0000 4.4582
Ga 0.0000 0.0000 6.8179
Sb 0.0000 0.0000 0.0000
```

Top 6 peaks for 10° ≤ 2θ ≤ 90°, sorted by position:
- d = 5.638 Å, 2θ = 15.72°, I = 57
- d = 3.491 Å, 2θ = 25.52°, I = 100
- d = 2.990 Å, 2θ = 29.88°, I = 53
- d = 2.468 Å, 2θ = 36.40°, I = 47
- d = 2.051 Å, 2θ = 44.15°, I = 49
- d = 1.578 Å, 2θ = 58.51°, I = 41

---

Record 5
This entry pairs a crystal structure of Ba6TlPt3 with its theoretical powder X-ray diffraction pattern. Radiation: Cu Kα X-rays. Structure: DFT lattice parameters and positions (GGA-PBE).
Peak positions follow from Bragg's law for the DFT cell and can differ from measured ones.

Crystal structure
```
20
Lattice="13.3428 0.0000 0.0000 0.0000 4.6809 0.0000 -4.3854 0.0000 12.9643" Properties=species:S:1:pos:R:3 pbc="T T T"
Ba -1.3386 1.1702 5.0653
Ba -2.6940 1.1702 12.2910
Ba 1.6423 3.5106 3.4091
Ba 0.4956 3.5106 9.8492
Ba 2.4747 1.1702 6.9269
Ba 5.3070 3.5106 1.1071
Ba 3.6505 1.1702 11.8572
Ba 6.4827 3.5106 6.0374
Ba 8.4618 1.1702 3.1151
Ba 7.3151 1.1702 9.5553
Ba 11.6514 3.5106 0.6733
Ba 10.2960 3.5106 7.8990
Tl 4.5867 1.1702 3.8410
Tl 4.3707 3.5106 9.1233
Pt -0.0845 1.1702 2.1133
Pt 0.2624 3.5106 6.4805
Pt 0.5015 1.1702 11.9214
Pt 8.4560 3.5106 1.0430
Pt 8.6950 1.1702 6.4838
Pt 9.0420 3.5106 10.8510
```

Top 6 peaks for 10° ≤ 2θ ≤ 90°, sorted by position:
- d = 3.441 Å, 2θ = 25.89°, I = 93
- d = 3.353 Å, 2θ = 26.58°, I = 63
- d = 3.131 Å, 2θ = 28.51°, I = 76
- d = 2.921 Å, 2θ = 30.60°, I = 47
- d = 2.561 Å, 2θ = 35.03°, I = 54
- d = 2.341 Å, 2θ = 38.45°, I = 100

---

Record 6
This entry pairs a crystal structure of Rb3Li2Sn9 with its theoretical powder X-ray diffraction pattern. Radiation: Cu Kα X-rays. Structure: DFT lattice parameters and positions (GGA-PBE).
Peak positions follow from Bragg's law for the DFT cell and can differ from measured ones.

Crystal structure
```
14
Lattice="-2.3650 6.7252 6.8060 2.3650 -6.7252 6.8060 2.3650 6.7252 -6.8060" Properties=species:S:1:pos:R:3 pbc="T T T"
Rb 0.0000 0.0000 0.0000
Rb 0.0000 0.0000 3.6669
Rb 0.0000 0.0000 9.9451
Li 2.3650 4.9070 0.0000
Li 0.0000 1.8182 6.8060
Sn 2.3650 2.3547 -1.7063
Sn 2.3650 -2.5983 4.8666
Sn 2.3650 2.3547 1.7063
Sn 0.0000 4.1268 1.9394
Sn 0.0000 6.7252 0.0000
Sn 2.3650 2.5983 4.8666
Sn 0.0000 4.3705 5.0997
Sn 0.0000 9.3235 1.9394
Sn 0.0000 4.3705 8.5123
```

Top 6 peaks for 10° ≤ 2θ ≤ 90°, sorted by position:
- d = 3.254 Å, 2θ = 27.41°, I = 100
- d = 3.036 Å, 2θ = 29.42°, I = 75
- d = 2.941 Å, 2θ = 30.39°, I = 36
- d = 2.364 Å, 2θ = 38.06°, I = 41
- d = 2.352 Å, 2θ = 38.27°, I = 45
- d = 1.866 Å, 2θ = 48.81°, I = 37

---

Record 7
This entry pairs a crystal structure of Ba2UPt3O12 with its theoretical powder X-ray diffraction pattern. Radiation: Cu Kα X-rays. Structure: DFT lattice parameters and positions (GGA-PBE).
Peak positions follow from Bragg's law for the DFT cell and can differ from measured ones.

Crystal structure
```
18
Lattice="3.5899 2.0726 6.2131 -3.5899 2.0726 6.2131 0.0000 -4.1452 6.2131" Properties=species:S:1:pos:R:3 pbc="T T T"
Ba 0.0000 0.0000 1.9805
Ba 0.0000 0.0000 16.6587
U 0.0000 0.0000 9.3196
Pt -1.7949 -1.0363 6.2131
Pt -1.7949 1.0363 12.4262
Pt 0.0000 2.0726 6.2131
O -1.5184 -0.8766 8.2007
O 0.0000 -1.7953 5.8319
O -1.5548 0.8977 5.8319
O -1.5548 -0.8977 12.8074
O 0.0000 -1.7533 10.4385
O -1.5184 0.8766 10.4385
O 1.5184 -0.8766 8.2007
O 0.0000 1.7533 8.2007
O 1.5548 0.8977 5.8319
O 1.5548 -0.8977 12.8074
O 0.0000 1.7953 12.8074
O 1.5184 0.8766 10.4385
```

Top 6 peaks for 10° ≤ 2θ ≤ 90°, sorted by position:
- d = 5.898 Å, 2θ = 15.02°, I = 38
- d = 3.197 Å, 2θ = 27.91°, I = 66
- d = 3.108 Å, 2θ = 28.72°, I = 100
- d = 3.067 Å, 2θ = 29.12°, I = 43
- d = 2.949 Å, 2θ = 30.31°, I = 88
- d = 1.795 Å, 2θ = 50.87°, I = 43

---

Record 8
This entry pairs a crystal structure of K4CePm3S8 with its theoretical powder X-ray diffraction pattern. Radiation: Cu Kα X-rays. Structure: DFT lattice parameters and positions (GGA-PBE).
Peak positions follow from Bragg's law for the DFT cell and can differ from measured ones.

Crystal structure
```
16
Lattice="4.1820 2.4145 7.3803 -4.1820 2.4145 7.3803 0.0000 -4.8290 7.3803" Properties=species:S:1:pos:R:3 pbc="T T T"
K 0.0000 0.0000 0.0000
K -2.0910 -1.2072 7.3803
K -2.0910 1.2072 14.7606
K 0.0000 2.4145 7.3803
Ce 0.0000 0.0000 11.0704
Pm -4.1820 0.0000 11.0704
Pm -2.0910 1.2072 3.6901
Pm 2.0910 1.2072 3.6901
S -2.1002 -1.2126 12.5916
S 0.0000 0.0000 5.2126
S 0.0000 -2.4251 9.5492
S -2.1002 1.2126 9.5492
S 2.1002 -1.2126 12.5916
S 0.0000 2.4251 12.5916
S 0.0000 0.0000 16.9283
S 2.1002 1.2126 9.5493
```

Top 6 peaks for 10° ≤ 2θ ≤ 90°, sorted by position:
- d = 7.380 Å, 2θ = 11.99°, I = 64
- d = 3.574 Å, 2θ = 24.91°, I = 23
- d = 3.442 Å, 2θ = 25.88°, I = 31
- d = 3.031 Å, 2θ = 29.47°, I = 100
- d = 2.199 Å, 2θ = 41.04°, I = 35
- d = 2.091 Å, 2θ = 43.27°, I = 34